For TaB4Pd2, DFT lattice parameters and positions (GGA-PBE) gives the theoretical powder X-ray diffraction pattern in this record (λ = 1.5418 Å (Cu Kα)).

a b c (Å): 7.014 7.014 7.014
angles (deg): 154.32 152.14 38.25
Fractional coordinates of all 7 atoms:
Ta1 0.000 0.000 0.000
B1 0.367 0.867 0.500
B2 0.431 0.431 0.000
B3 0.569 0.569 0.000
B4 0.633 0.133 0.500
Pd1 0.188 0.688 0.500
Pd2 0.812 0.312 0.500

Largest 8 diffraction maxima, in order of falling intensity, 15° ≤ 2θ ≤ 90°:
2θ 41.7, d = 2.165 Å, rel. 1000; 2θ 35.2, d = 2.547 Å, rel. 876; 2θ 27.3, d = 3.272 Å, rel. 711; 2θ 43.4, d = 2.085 Å, rel. 590; 2θ 66.4, d = 1.407 Å, rel. 402; 2θ 70.1, d = 1.342 Å, rel. 339; 2θ 40.8, d = 2.209 Å, rel. 229; 2θ 76.3, d = 1.248 Å, rel. 220

***

For YB4Pd, DFT lattice parameters and positions (GGA-PBE) gives the theoretical powder X-ray diffraction pattern in this record (λ = 1.5418 Å (Cu Kα)).

a b c (Å): 4.936 4.936 4.936
angles (deg): 142.70 114.53 77.84
Fractional coordinates of all 6 atoms:
Y1 0.000 0.000 0.000
B1 0.067 0.743 0.324
B2 0.419 0.743 0.676
B3 0.581 0.257 0.324
B4 0.933 0.257 0.676
Pd1 0.500 0.500 0.000

Largest 8 diffraction maxima, in order of falling intensity, 15° ≤ 2θ ≤ 90°:
2θ 40.7, d = 2.218 Å, rel. 1000; 2θ 33.0, d = 2.718 Å, rel. 676; 2θ 23.2, d = 3.841 Å, rel. 650; 2θ 41.2, d = 2.192 Å, rel. 502; 2θ 33.6, d = 2.669 Å, rel. 306; 2θ 58.9, d = 1.568 Å, rel. 255; 2θ 74.0, d = 1.281 Å, rel. 194; 2θ 47.3, d = 1.920 Å, rel. 182

***

For Zr2B6Pd, DFT lattice parameters and positions (GGA-PBE) gives the theoretical powder X-ray diffraction pattern in this record (λ = 1.5418 Å (Cu Kα)).

a b c (Å): 9.019 11.386 3.517
angles (deg): 90.00 90.00 90.00
Fractional coordinates of all 36 atoms:
Zr1 0.054 0.130 0.000
Zr2 0.180 0.411 0.000
Zr3 0.320 0.911 0.000
Zr4 0.446 0.630 0.000
Zr5 0.554 0.370 0.000
Zr6 0.680 0.089 0.000
Zr7 0.820 0.589 0.000
Zr8 0.946 0.870 0.000
B1 0.020 0.288 0.500
B2 0.051 0.562 0.500
B3 0.102 0.974 0.500
B4 0.133 0.822 0.500
B5 0.202 0.242 0.500
B6 0.247 0.077 0.500
B7 0.253 0.577 0.500
B8 0.298 0.742 0.500
B9 0.367 0.322 0.500
B10 0.398 0.474 0.500
B11 0.449 0.062 0.500
B12 0.480 0.788 0.500
B13 0.520 0.212 0.500
B14 0.551 0.938 0.500
B15 0.602 0.526 0.500
B16 0.633 0.678 0.500
B17 0.702 0.258 0.500
B18 0.747 0.423 0.500
B19 0.753 0.923 0.500
B20 0.798 0.758 0.500
B21 0.867 0.178 0.500
B22 0.898 0.026 0.500
B23 0.949 0.438 0.500
B24 0.980 0.712 0.500
Pd1 0.139 0.672 0.000
Pd2 0.361 0.172 0.000
Pd3 0.639 0.828 0.000
Pd4 0.861 0.328 0.000

Largest 8 diffraction maxima, in order of falling intensity, 15° ≤ 2θ ≤ 90°:
2θ 25.3, d = 3.517 Å, rel. 1000; 2θ 40.3, d = 2.240 Å, rel. 888; 2θ 30.8, d = 2.906 Å, rel. 657; 2θ 40.8, d = 2.212 Å, rel. 448; 2θ 42.0, d = 2.149 Å, rel. 440; 2θ 42.6, d = 2.121 Å, rel. 398; 2θ 31.4, d = 2.846 Å, rel. 323; 2θ 33.0, d = 2.714 Å, rel. 314

***

For PmB6, DFT lattice parameters and positions (GGA-PBE) gives the theoretical powder X-ray diffraction pattern in this record (λ = 1.5418 Å (Cu Kα)).

a b c (Å): 4.117 4.117 4.117
angles (deg): 90.00 90.00 90.00
Fractional coordinates of all 7 atoms:
Pm1 0.000 0.000 0.000
B1 0.199 0.500 0.500
B2 0.500 0.199 0.500
B3 0.500 0.500 0.199
B4 0.500 0.500 0.801
B5 0.500 0.801 0.500
B6 0.801 0.500 0.500

Largest 8 diffraction maxima, in order of falling intensity, 15° ≤ 2θ ≤ 90°:
2θ 30.7, d = 2.911 Å, rel. 1000; 2θ 21.6, d = 4.117 Å, rel. 664; 2θ 49.5, d = 1.841 Å, rel. 497; 2θ 37.8, d = 2.377 Å, rel. 422; 2θ 68.3, d = 1.372 Å, rel. 278; 2θ 54.6, d = 1.681 Å, rel. 275; 2θ 44.0, d = 2.059 Å, rel. 214; 2θ 72.6, d = 1.302 Å, rel. 199

***

For PmB4Sb, DFT lattice parameters and positions (GGA-PBE) gives the theoretical powder X-ray diffraction pattern in this record (λ = 1.5418 Å (Cu Kα)).

a b c (Å): 3.251 3.251 8.216
angles (deg): 90.00 90.00 120.00
Fractional coordinates of all 6 atoms:
Pm1 0.000 0.000 0.000
B1 0.333 0.667 0.248
B2 0.333 0.667 0.752
B3 0.667 0.333 0.248
B4 0.667 0.333 0.752
Sb1 0.000 0.000 0.500

Largest 8 diffraction maxima, in order of falling intensity, 15° ≤ 2θ ≤ 90°:
2θ 38.8, d = 2.322 Å, rel. 1000; 2θ 31.8, d = 2.815 Å, rel. 674; 2θ 21.6, d = 4.108 Å, rel. 492; 2θ 55.4, d = 1.659 Å, rel. 285; 2θ 61.3, d = 1.511 Å, rel. 188; 2θ 56.6, d = 1.625 Å, rel. 178; 2θ 70.8, d = 1.332 Å, rel. 165; 2θ 74.4, d = 1.275 Å, rel. 157

***

For PmSnB, DFT lattice parameters and positions (GGA-PBE) gives the theoretical powder X-ray diffraction pattern in this record (λ = 1.5418 Å (Cu Kα)).

a b c (Å): 4.477 4.477 4.477
angles (deg): 60.00 60.00 60.00
Fractional coordinates of all 3 atoms:
Pm1 0.000 0.000 0.000
Sn1 0.500 0.500 0.500
B1 0.250 0.250 0.250

Largest 8 diffraction maxima, in order of falling intensity, 15° ≤ 2θ ≤ 90°:
2θ 28.2, d = 3.166 Å, rel. 1000; 2θ 40.3, d = 2.238 Å, rel. 877; 2θ 66.0, d = 1.416 Å, rel. 376; 2θ 73.2, d = 1.292 Å, rel. 308; 2θ 49.9, d = 1.828 Å, rel. 285; 2θ 58.3, d = 1.583 Å, rel. 149; 2θ 87.1, d = 1.119 Å, rel. 103; 2θ 24.4, d = 3.655 Å, rel. 22

***

For TbPmB4, DFT lattice parameters and positions (GGA-PBE) gives the theoretical powder X-ray diffraction pattern in this record (λ = 1.5418 Å (Cu Kα)).

a b c (Å): 3.315 3.315 7.967
angles (deg): 90.00 90.00 120.00
Fractional coordinates of all 6 atoms:
Tb1 0.000 0.000 0.000
Pm1 0.000 0.000 0.500
B1 0.333 0.667 0.242
B2 0.333 0.667 0.758
B3 0.667 0.333 0.242
B4 0.667 0.333 0.758

Largest 8 diffraction maxima, in order of falling intensity, 15° ≤ 2θ ≤ 90°:
2θ 38.7, d = 2.329 Å, rel. 1000; 2θ 31.2, d = 2.871 Å, rel. 722; 2θ 22.3, d = 3.983 Å, rel. 475; 2θ 56.2, d = 1.636 Å, rel. 281; 2θ 60.5, d = 1.530 Å, rel. 205; 2θ 55.4, d = 1.657 Å, rel. 189; 2θ 69.6, d = 1.350 Å, rel. 175; 2θ 74.5, d = 1.274 Å, rel. 156

***

For PmTlB4, DFT lattice parameters and positions (GGA-PBE) gives the theoretical powder X-ray diffraction pattern in this record (λ = 1.5418 Å (Cu Kα)).

a b c (Å): 5.377 5.377 5.377
angles (deg): 144.77 119.79 71.72
Fractional coordinates of all 6 atoms:
Pm1 0.000 0.000 0.000
Tl1 0.500 0.500 0.000
B1 0.065 0.740 0.325
B2 0.415 0.740 0.675
B3 0.585 0.260 0.325
B4 0.935 0.260 0.675

Largest 8 diffraction maxima, in order of falling intensity, 15° ≤ 2θ ≤ 90°:
2θ 38.3, d = 2.348 Å, rel. 1000; 2θ 20.4, d = 4.358 Å, rel. 895; 2θ 32.1, d = 2.787 Å, rel. 679; 2θ 39.3, d = 2.294 Å, rel. 478; 2θ 53.4, d = 1.717 Å, rel. 336; 2θ 33.2, d = 2.697 Å, rel. 303; 2θ 73.5, d = 1.288 Å, rel. 221; 2θ 41.4, d = 2.179 Å, rel. 219

***

For PmTlB, DFT lattice parameters and positions (GGA-PBE) gives the theoretical powder X-ray diffraction pattern in this record (λ = 1.5418 Å (Cu Kα)).

a b c (Å): 4.509 4.509 4.509
angles (deg): 60.00 60.00 60.00
Fractional coordinates of all 3 atoms:
Pm1 0.000 0.000 0.000
Tl1 0.500 0.500 0.500
B1 0.250 0.250 0.250

Largest 8 diffraction maxima, in order of falling intensity, 15° ≤ 2θ ≤ 90°:
2θ 28.0, d = 3.189 Å, rel. 1000; 2θ 40.0, d = 2.255 Å, rel. 856; 2θ 65.5, d = 1.426 Å, rel. 374; 2θ 72.6, d = 1.302 Å, rel. 298; 2θ 49.5, d = 1.841 Å, rel. 286; 2θ 57.8, d = 1.594 Å, rel. 146; 2θ 86.3, d = 1.127 Å, rel. 98; 2θ 24.2, d = 3.682 Å, rel. 45

***

For PrB, DFT lattice parameters and positions (GGA-PBE) gives the theoretical powder X-ray diffraction pattern in this record (λ = 1.5418 Å (Cu Kα)).

a b c (Å): 3.967 3.967 3.967
angles (deg): 60.00 60.00 60.00
Fractional coordinates of all 2 atoms:
Pr1 0.000 0.000 0.000
B1 0.500 0.500 0.500

Largest 8 diffraction maxima, in order of falling intensity, 15° ≤ 2θ ≤ 90°:
2θ 27.5, d = 3.239 Å, rel. 1000; 2θ 31.9, d = 2.805 Å, rel. 655; 2θ 45.7, d = 1.984 Å, rel. 474; 2θ 54.2, d = 1.692 Å, rel. 472; 2θ 75.8, d = 1.255 Å, rel. 209; 2θ 73.6, d = 1.287 Å, rel. 189; 2θ 56.8, d = 1.620 Å, rel. 164; 2θ 84.6, d = 1.145 Å, rel. 160

***

For PrReB4, DFT lattice parameters and positions (GGA-PBE) gives the theoretical powder X-ray diffraction pattern in this record (λ = 1.5418 Å (Cu Kα)).

a b c (Å): 3.151 3.151 7.446
angles (deg): 90.00 90.00 120.00
Fractional coordinates of all 6 atoms:
Pr1 0.000 0.000 0.000
Re1 0.000 0.000 0.500
B1 0.333 0.667 0.289
B2 0.333 0.667 0.711
B3 0.667 0.333 0.289
B4 0.667 0.333 0.711

Largest 8 diffraction maxima, in order of falling intensity, 15° ≤ 2θ ≤ 90°:
2θ 41.0, d = 2.201 Å, rel. 1000; 2θ 32.8, d = 2.729 Å, rel. 762; 2θ 23.9, d = 3.723 Å, rel. 507; 2θ 60.2, d = 1.538 Å, rel. 287; 2θ 64.2, d = 1.451 Å, rel. 214; 2θ 58.6, d = 1.576 Å, rel. 190; 2θ 74.0, d = 1.281 Å, rel. 175; 2θ 79.7, d = 1.203 Å, rel. 147

***

For PrZnB4, DFT lattice parameters and positions (GGA-PBE) gives the theoretical powder X-ray diffraction pattern in this record (λ = 1.5418 Å (Cu Kα)).

a b c (Å): 5.237 5.237 5.237
angles (deg): 144.60 118.70 72.82
Fractional coordinates of all 6 atoms:
Pr1 0.000 0.000 0.000
Zn1 0.500 0.500 0.000
B1 0.068 0.744 0.324
B2 0.419 0.744 0.676
B3 0.581 0.256 0.324
B4 0.932 0.256 0.676

Largest 8 diffraction maxima, in order of falling intensity, 15° ≤ 2θ ≤ 90°:
2θ 39.3, d = 2.294 Å, rel. 1000; 2θ 21.1, d = 4.214 Å, rel. 732; 2θ 32.7, d = 2.735 Å, rel. 628; 2θ 40.0, d = 2.255 Å, rel. 494; 2θ 55.0, d = 1.669 Å, rel. 291; 2θ 76.2, d = 1.250 Å, rel. 288; 2θ 19.7, d = 4.510 Å, rel. 284; 2θ 33.6, d = 2.669 Å, rel. 280

***

For B4Pt, DFT lattice parameters and positions (GGA-PBE) gives the theoretical powder X-ray diffraction pattern in this record (λ = 1.5418 Å (Cu Kα)).

a b c (Å): 6.411 6.411 6.411
angles (deg): 25.28 25.28 25.28
Fractional coordinates of all 5 atoms:
B1 0.073 0.073 0.073
B2 0.313 0.313 0.313
B3 0.687 0.687 0.687
B4 0.927 0.927 0.927
Pt1 0.500 0.500 0.500

Largest 8 diffraction maxima, in order of falling intensity, 15° ≤ 2θ ≤ 90°:
2θ 38.3, d = 2.351 Å, rel. 1000; 2θ 37.3, d = 2.409 Å, rel. 1000; 2θ 44.5, d = 2.035 Å, rel. 836; 2θ 41.9, d = 2.154 Å, rel. 756; 2θ 28.8, d = 3.102 Å, rel. 688; 2θ 50.9, d = 1.794 Å, rel. 496; 2θ 68.6, d = 1.368 Å, rel. 322; 2θ 74.2, d = 1.278 Å, rel. 293

***

For SrSmB2Pt8, DFT lattice parameters and positions (GGA-PBE) gives the theoretical powder X-ray diffraction pattern in this record (λ = 1.5418 Å (Cu Kα)).

a b c (Å): 5.532 5.532 7.644
angles (deg): 90.00 90.00 120.00
Fractional coordinates of all 12 atoms:
Sr1 0.000 0.000 0.000
Sm1 0.000 0.000 0.500
B1 0.333 0.667 0.500
B2 0.667 0.333 0.500
Pt1 0.000 0.500 0.302
Pt2 0.000 0.500 0.698
Pt3 0.333 0.667 0.000
Pt4 0.500 0.000 0.302
Pt5 0.500 0.000 0.698
Pt6 0.500 0.500 0.302
Pt7 0.500 0.500 0.698
Pt8 0.667 0.333 0.000

Largest 8 diffraction maxima, in order of falling intensity, 15° ≤ 2θ ≤ 90°:
2θ 40.2, d = 2.241 Å, rel. 1000; 2θ 37.5, d = 2.395 Å, rel. 966; 2θ 44.6, d = 2.030 Å, rel. 649; 2θ 18.5, d = 4.791 Å, rel. 470; 2θ 39.4, d = 2.286 Å, rel. 453; 2θ 35.2, d = 2.548 Å, rel. 431; 2θ 67.8, d = 1.383 Å, rel. 394; 2θ 73.5, d = 1.289 Å, rel. 384

***

For TcBPt, DFT lattice parameters and positions (GGA-PBE) gives the theoretical powder X-ray diffraction pattern in this record (λ = 1.5418 Å (Cu Kα)).

a b c (Å): 3.982 3.982 3.982
angles (deg): 60.00 60.00 60.00
Fractional coordinates of all 3 atoms:
Tc1 0.000 0.000 0.000
B1 0.500 0.500 0.500
Pt1 0.750 0.750 0.750

Largest 8 diffraction maxima, in order of falling intensity, 15° ≤ 2θ ≤ 90°:
2θ 27.4, d = 3.251 Å, rel. 1000; 2θ 45.6, d = 1.991 Å, rel. 758; 2θ 54.0, d = 1.698 Å, rel. 470; 2θ 84.2, d = 1.149 Å, rel. 258; 2θ 73.3, d = 1.292 Å, rel. 190; 2θ 66.4, d = 1.408 Å, rel. 122; 2θ 31.8, d = 2.816 Å, rel. 76; 2θ 75.5, d = 1.259 Å, rel. 31